This entry pairs a crystal structure of TlBF5 with its simulated powder diffraction line list. Radiation: λ = 1.5418 Å (Cu Kα). Structure: a PBE-relaxed structure.
No peak broadening, texture or thermal motion is included.

Principal peaks in the range 2θ = 10–80°, by angle:
Position (°2θ)  Rel. int.
15.26  100.0
18.51  56.5
22.36  55.5
22.49  31.2
23.18  59.7
23.88  50.8
25.68  52.6
26.12  22.8
33.81  28.3
34.39  28.3

Structural model:
a = 5.460 Å, b = 6.624 Å, c = 7.727 Å
α = 65.98°, β = 74.02°, γ = 83.87°
Fractional positions:
Tl1 0.000 0.000 0.000
Tl2 0.500 0.500 0.500
B1 0.098 0.330 0.289
B2 0.902 0.670 0.711
F1 0.152 0.543 0.147
F2 0.177 0.703 0.641
F3 0.184 0.308 0.458
F4 0.205 0.167 0.224
F5 0.446 0.246 0.762
F6 0.554 0.754 0.238
F7 0.795 0.833 0.776
F8 0.816 0.692 0.542
F9 0.823 0.297 0.359
F10 0.848 0.457 0.853